No. 1
Theoretical XRD peak list of Li4FeOF5 for CuKα, from DFT lattice parameters and positions (GGA+U).
Lines closer than 0.1° are merged.

Largest 10 diffraction maxima, by angle, 2θ from 10° to 80°:
| 2theta | intensity |
| --- | --- |
| 13.34 | 859 |
| 20.07 | 249 |
| 30.69 | 1000 |
| 31.44 | 570 |
| 33.60 | 553 |
| 40.80 | 361 |
| 51.91 | 317 |
| 54.48 | 156 |
| 54.60 | 309 |
| 70.29 | 198 |

Atomic structure:
```
Li4FeOF5
1.0
2.9091 -5.0525 0.0000
2.9091 5.0525 0.0000
-0.0096 0.0000 13.2704
Li Fe O F
12 3 3 15
direct
0.0000 0.0000 0.0000 Li
0.0002 0.6543 0.1547 Li
0.0050 0.0050 0.6110 Li
0.0110 0.0110 0.3172 Li
0.3323 0.6545 0.3110 Li
0.3322 0.6593 0.6068 Li
0.3481 0.3481 0.1537 Li
0.6543 0.0002 0.1547 Li
0.6545 0.3323 0.3110 Li
0.6593 0.3322 0.6068 Li
0.6659 0.9990 0.4495 Li
0.9990 0.6659 0.4495 Li
0.3318 0.3318 0.8057 Fe
0.6654 0.9987 0.8059 Fe
0.9987 0.6654 0.8059 Fe
0.3318 0.6648 0.7938 O
0.6648 0.3318 0.7938 O
0.9982 0.9982 0.7833 O
0.0004 0.6993 0.9461 F
0.3009 0.3009 0.9458 F
0.3285 0.3285 0.3002 F
0.3320 0.7063 0.4705 F
0.3330 0.6687 0.1528 F
0.3390 0.3390 0.6471 F
0.6582 0.9995 0.6473 F
0.6687 0.3330 0.1528 F
0.6720 0.9995 0.3065 F
0.6993 0.0004 0.9461 F
0.7063 0.3320 0.4705 F
0.9575 0.9575 0.4739 F
0.9974 0.9974 0.1374 F
0.9995 0.6582 0.6473 F
0.9995 0.6720 0.3065 F
```

=====

No. 2
Theoretical XRD peak list of Ca2MnGaO5 for CuKα, from DFT lattice parameters and positions (GGA+U).
Lines closer than 0.1° are merged.

Largest 10 diffraction maxima, by angle, 2θ from 10° to 80°:
| 2theta | intensity |
| --- | --- |
| 22.80 | 115 |
| 23.73 | 157 |
| 31.77 | 214 |
| 33.12 | 1000 |
| 33.81 | 72 |
| 46.56 | 240 |
| 48.47 | 126 |
| 57.45 | 107 |
| 59.17 | 211 |
| 69.50 | 117 |

Atomic structure:
```
Ca2MnGaO5
1.0
7.9812 -2.8166 0.0000
7.9812 2.8166 0.0000
-1.8263 0.0000 5.0892
Ca Mn Ga O
4 2 2 10
direct
0.2229 0.7771 0.5000 Ca
0.4965 0.9426 0.7199 Ca
0.7771 0.2229 0.0000 Ca
0.9426 0.4965 0.2199 Ca
0.3602 0.8593 0.1244 Mn
0.8593 0.3602 0.6244 Mn
0.1765 0.5431 0.8342 Ga
0.5431 0.1765 0.3342 Ga
0.1150 0.1346 0.3906 O
0.1346 0.1150 0.8906 O
0.1394 0.7918 0.0218 O
0.2331 0.4865 0.4819 O
0.4865 0.2331 0.9819 O
0.5795 0.9284 0.3115 O
0.5949 0.5946 0.3537 O
0.5946 0.5949 0.8537 O
0.7918 0.1394 0.5218 O
0.9284 0.5795 0.8115 O
```

=====

No. 3
Theoretical XRD peak list of RbMg6MnO8 for CuKα, from DFT lattice parameters and positions (GGA+U).
Lines closer than 0.1° are merged.

Largest 10 diffraction maxima, by angle, 2θ from 10° to 80°:
| 2theta | intensity |
| --- | --- |
| 19.57 | 173 |
| 29.54 | 153 |
| 29.99 | 231 |
| 34.63 | 458 |
| 39.74 | 475 |
| 40.43 | 1000 |
| 57.99 | 549 |
| 58.51 | 295 |
| 69.81 | 154 |
| 73.06 | 270 |

Atomic structure:
```
RbMg6MnO8
1.0
4.4616 0.0000 0.0000
0.0000 4.4616 0.0000
0.0000 0.0000 9.0724
Rb Mg Mn O
1 6 1 8
direct
0.0000 0.0000 0.0000 Rb
0.0000 0.0000 0.5000 Mg
0.0000 0.5000 0.2691 Mg
0.0000 0.5000 0.7309 Mg
0.5000 0.0000 0.2691 Mg
0.5000 0.0000 0.7309 Mg
0.5000 0.5000 0.5000 Mg
0.5000 0.5000 0.0000 Mn
0.0000 0.0000 0.2814 O
0.0000 0.0000 0.7186 O
0.0000 0.5000 0.0000 O
0.0000 0.5000 0.5000 O
0.5000 0.0000 0.0000 O
0.5000 0.0000 0.5000 O
0.5000 0.5000 0.2575 O
0.5000 0.5000 0.7425 O
```

=====

No. 4
Theoretical XRD peak list of K2FeOF5 for CuKα, from DFT lattice parameters and positions (GGA+U).
Lines closer than 0.1° are merged.

Largest 10 diffraction maxima, by angle, 2θ from 10° to 80°:
| 2theta | intensity |
| --- | --- |
| 17.45 | 1000 |
| 18.93 | 715 |
| 25.40 | 236 |
| 27.06 | 178 |
| 29.23 | 232 |
| 30.37 | 206 |
| 30.87 | 326 |
| 31.52 | 184 |
| 35.03 | 269 |
| 46.90 | 173 |

Atomic structure:
```
K2FeOF5
1.0
4.7914 -3.9904 0.0000
4.7914 3.9904 0.0000
-1.0603 0.0000 8.0758
K Fe O F
4 2 2 10
direct
0.1990 0.2074 0.0354 K
0.2074 0.1990 0.5354 K
0.7926 0.8010 0.4646 K
0.8010 0.7926 0.9646 K
0.3129 0.6871 0.7500 Fe
0.6871 0.3129 0.2500 Fe
0.4807 0.5193 0.2500 O
0.5193 0.4807 0.7500 O
0.0655 0.9345 0.7500 F
0.1198 0.5177 0.8060 F
0.2214 0.6324 0.5308 F
0.3676 0.7786 0.9692 F
0.4823 0.8802 0.6940 F
0.5177 0.1198 0.3060 F
0.6324 0.2214 0.0308 F
0.7786 0.3676 0.4692 F
0.8802 0.4823 0.1940 F
0.9345 0.0655 0.2500 F
```

=====

No. 5
Theoretical XRD peak list of Ca3Mn2O7 for CuKα, from DFT lattice parameters and positions (GGA+U).
Lines closer than 0.1° are merged.

Largest 10 diffraction maxima, by angle, 2θ from 10° to 80°:
| 2theta | intensity |
| --- | --- |
| 18.21 | 192 |
| 24.00 | 131 |
| 33.02 | 1000 |
| 33.43 | 359 |
| 33.68 | 362 |
| 46.60 | 251 |
| 48.19 | 463 |
| 59.49 | 150 |
| 59.82 | 235 |
| 69.28 | 198 |

Atomic structure:
```
Ca3Mn2O7
1.0
9.7453 -2.6609 0.0000
9.7453 2.6609 0.0000
0.0000 0.0000 5.3614
Ca Mn O
6 4 14
direct
0.0565 0.5689 0.4184 Ca
0.2444 0.7556 0.5000 Ca
0.4311 0.9435 0.4184 Ca
0.5689 0.0565 0.9184 Ca
0.7556 0.2444 0.0000 Ca
0.9435 0.4311 0.9184 Ca
0.1525 0.6512 0.9569 Mn
0.3488 0.8475 0.9569 Mn
0.6512 0.1525 0.4569 Mn
0.8475 0.3488 0.4569 Mn
0.0029 0.6055 0.9677 O
0.0401 0.1280 0.7500 O
0.1280 0.0401 0.2500 O
0.3183 0.6817 0.9424 O
0.3454 0.4324 0.6654 O
0.3945 0.9971 0.9677 O
0.4324 0.3454 0.1654 O
0.5676 0.6546 0.6654 O
0.6055 0.0029 0.4677 O
0.6546 0.5676 0.1654 O
0.6817 0.3183 0.4424 O
0.8720 0.9599 0.7500 O
0.9599 0.8720 0.2500 O
0.9971 0.3945 0.4677 O
```

=====

No. 6
Theoretical XRD peak list of TiMn2Fe3P6O24 for CuKα, from DFT lattice parameters and positions (GGA+U).
Lines closer than 0.1° are merged.

Largest 10 diffraction maxima, by angle, 2θ from 10° to 80°:
| 2theta | intensity |
| --- | --- |
| 20.53 | 880 |
| 24.16 | 1000 |
| 25.22 | 142 |
| 31.87 | 154 |
| 32.85 | 712 |
| 35.94 | 381 |
| 47.12 | 273 |
| 49.47 | 289 |
| 56.24 | 242 |
| 62.65 | 194 |

Atomic structure:
```
TiMn2Fe3P6O24
1.0
4.3281 2.4988 7.0212
-4.3281 2.4988 7.0212
0.0000 -4.9976 7.0212
Ti Mn Fe P O
1 2 3 6 24
direct
0.0000 0.0000 0.0000 Ti
0.3542 0.3542 0.3542 Mn
0.8537 0.8537 0.8537 Mn
0.2096 0.2096 0.2096 Fe
0.5001 0.5001 0.5001 Fe
0.7093 0.7093 0.7093 Fe
0.1054 0.3991 0.8109 P
0.3111 0.8993 0.6049 P
0.3991 0.8109 0.1054 P
0.6049 0.3111 0.8993 P
0.8109 0.1054 0.3991 P
0.8993 0.6049 0.3111 P
0.0395 0.2362 0.8610 O
0.0960 0.4434 0.2940 O
0.1147 0.9180 0.7685 O
0.1716 0.3592 0.9654 O
0.2362 0.8610 0.0395 O
0.2667 0.4073 0.6159 O
0.2940 0.0960 0.4434 O
0.3467 0.7425 0.5434 O
0.3592 0.9654 0.1716 O
0.4073 0.6159 0.2667 O
0.4434 0.2940 0.0960 O
0.4674 0.8609 0.6676 O
0.5434 0.3467 0.7425 O
0.5923 0.7950 0.9429 O
0.6159 0.2667 0.4073 O
0.6676 0.4674 0.8609 O
0.7425 0.5435 0.3467 O
0.7685 0.1147 0.9180 O
0.7950 0.9429 0.5923 O
0.8610 0.0395 0.2362 O
0.8609 0.6676 0.4674 O
0.9180 0.7685 0.1147 O
0.9429 0.5923 0.7950 O
0.9654 0.1716 0.3592 O
```